Entry 1:
For Re3Te7Br7, DFT lattice parameters and positions (GGA-PBE) gives the simulated X-ray diffraction stick pattern in this record (Cu Kα, 1.54184 Å).
Neutral-atom scattering factors, no anomalous dispersion.

Peak list (10 most intense, 10 to 90 degrees two-theta, low angle first)
2θ = 10.84°, I 100, (0 1 2); 2θ = 26.15°, I 16, (0 2 7); 2θ = 27.56°, I 32, (2 1 4); 2θ = 28.18°, I 17, (1 1 9); 2θ = 28.60°, I 15, (3 -2 5); 2θ = 30.17°, I 15, (0 0 12); 2θ = 32.73°, I 25, (3 -2 8); 2θ = 40.98°, I 21, (4 -2 9); 2θ = 46.64°, I 16, (3 2 7); 2θ = 51.78°, I 16, (5 -3 11)

Atomic structure:
abc: 10.6166 10.6166 35.5049
angles: 90.00 90.00 120.00
Space group R-3 (No. 148, hexagonal axes)
Inequivalent atoms, fractional coordinates:
1 Re 0.0249 0.1589 0.0316 [18 per cell]
2 Te 0.0000 0.0000 0.0936 [6 per cell]
3 Te 0.0071 0.7258 0.5928 [18 per cell]
4 Te 0.0160 0.3984 0.6356 [18 per cell]
5 Br 0.0000 0.0000 0.3630 [6 per cell]
6 Br 0.0617 0.2382 0.7877 [18 per cell]
7 Br 0.0852 0.5096 0.2079 [18 per cell]


Entry 2:
For ReTe2Br4, DFT lattice parameters and positions (GGA-PBE) gives the simulated X-ray diffraction stick pattern in this record (Cu Kα, 1.54184 Å).
Neutral-atom scattering factors, no anomalous dispersion.

Peak list (10 most intense, 10 to 90 degrees two-theta, low angle first)
2θ = 10.70°, I 100, (1 1 0); 2θ = 16.15°, I 48, (1 1 2); 2θ = 26.99°, I 28, (3 1 2); 2θ = 28.17°, I 74, (2 3 1); 2θ = 31.43°, I 39, (1 0 5); 2θ = 36.47°, I 28, (4 2 2); 2θ = 38.98°, I 55, (3 4 1); 2θ = 42.85°, I 37, (5 0 3); 2θ = 44.41°, I 39, (4 1 5); 2θ = 51.13°, I 35, (2 4 6)

Atomic structure:
abc: 11.698 11.698 14.674
angles: 90.00 90.00 90.00
Space group I-4 (No. 82)
Inequivalent atoms, fractional coordinates:
1 Re 0.034 0.383 0.321 [8 per cell]
2 Te 0.052 0.320 0.149 [8 per cell]
3 Te 0.196 0.224 0.376 [8 per cell]
4 Br 0.043 0.831 0.339 [8 per cell]
5 Br 0.055 0.356 0.501 [8 per cell]
6 Br 0.116 0.170 0.922 [8 per cell]
7 Br 0.123 0.719 0.766 [8 per cell]


Entry 3:
For ReW2Br, DFT lattice parameters and positions (GGA-PBE) gives the simulated X-ray diffraction stick pattern in this record (Cu Kα, 1.54184 Å).
Neutral-atom scattering factors, no anomalous dispersion.

Peak list (10 most intense, 10 to 90 degrees two-theta, low angle first)
2θ = 23.98°, I 6, (1 1 1); 2θ = 27.76°, I 3, (2 0 0); 2θ = 39.66°, I 100, (2 2 0); 2θ = 46.88°, I 3, (3 1 1); 2θ = 57.33°, I 17, (4 0 0); 2θ = 63.04°, I 1, (3 3 1); 2θ = 64.87°, I 1, (4 2 0); 2θ = 71.96°, I 35, (4 2 2); 2θ = 77.10°, I 1, (5 1 1); 2θ = 85.44°, I 11, (4 4 0)

Atomic structure:
abc: 6.428 6.428 6.428
angles: 90.00 90.00 90.00
Space group F-43m (No. 216)
Inequivalent atoms, fractional coordinates:
1 Re 0.000 0.000 0.000 [4 per cell]
2 W 0.000 0.000 0.500 [4 per cell]
3 W 0.250 0.250 0.750 [4 per cell]
4 Br 0.250 0.250 0.250 [4 per cell]


Entry 4:
For RhBr, DFT lattice parameters and positions (GGA-PBE) gives the simulated X-ray diffraction stick pattern in this record (Cu Kα, 1.54184 Å).
Neutral-atom scattering factors, no anomalous dispersion.

Peak list (10 most intense, 10 to 90 degrees two-theta, low angle first)
2θ = 22.68°, I 23, (0 0 2); 2θ = 29.03°, I 62, (1 0 0); 2θ = 31.24°, I 99, (1 0 1); 2θ = 45.55°, I 100, (1 0 3); 2θ = 46.32°, I 12, (0 0 4); 2θ = 51.46°, I 48, (1 1 0); 2θ = 61.44°, I 14, (2 0 1); 2θ = 71.13°, I 26, (2 0 3); 2θ = 71.72°, I 19, (1 1 4); 2θ = 84.20°, I 11, (2 1 1)

Atomic structure:
abc: 3.5515 3.5515 7.8398
angles: 90.00 90.00 120.00
Space group P6_3mc (No. 186)
Inequivalent atoms, fractional coordinates:
1 Rh 0.3333 0.6667 0.0000 [2 per cell]
2 Br 0.3333 0.6667 0.6898 [2 per cell]


Entry 5:
For RhBr3, DFT lattice parameters and positions (GGA-PBE) gives the simulated X-ray diffraction stick pattern in this record (Cu Kα, 1.54184 Å).
Neutral-atom scattering factors, no anomalous dispersion.

Peak list (10 most intense, 10 to 90 degrees two-theta, low angle first)
2θ = 13.29°, I 75, (0 0 1); 2θ = 16.50°, I 16, (1 1 0); 2θ = 29.14°, I 22, (1 3 -1); 2θ = 33.10°, I 100, (2 0 -2); 2θ = 42.31°, I 27, (1 3 2); 2θ = 45.98°, I 31, (1 3 -3); 2θ = 49.01°, I 33, (0 6 0); 2θ = 51.01°, I 13, (3 3 0); 2θ = 58.32°, I 15, (2 0 3); 2θ = 60.42°, I 16, (2 6 -2)

Atomic structure:
abc: 6.438 11.152 6.995
angles: 90.00 107.76 90.00
Space group C2/m (No. 12)
Inequivalent atoms, fractional coordinates:
1 Rh 0.000 0.167 0.000 [4 per cell]
2 Br 0.216 0.000 0.211 [4 per cell]
3 Br 0.247 0.323 0.211 [8 per cell]


Entry 6:
For Tb7RhBr12, DFT lattice parameters and positions (GGA-PBE) gives the simulated X-ray diffraction stick pattern in this record (Cu Kα, 1.54184 Å).
Neutral-atom scattering factors, no anomalous dispersion.

Peak list (10 most intense, 10 to 90 degrees two-theta, low angle first)
2θ = 10.95°, I 20, (1 0 1); 2θ = 11.81°, I 48, (1 1 0); 2θ = 30.27°, I 100, (3 1 2); 2θ = 43.13°, I 36, (4 -3 4); 2θ = 43.53°, I 35, (2 5 0); 2θ = 53.94°, I 17, (8 -6 2); 2θ = 62.94°, I 14, (6 2 4); 2θ = 71.14°, I 12, (7 -2 6); 2θ = 71.72°, I 14, (10 -1 2); 2θ = 79.65°, I 10, (11 -5 4)

Atomic structure:
abc: 14.9912 14.9912 10.3208
angles: 90.00 90.00 120.00
Space group R-3 (No. 148, hexagonal axes)
Inequivalent atoms, fractional coordinates:
1 Tb 0.0000 0.0000 0.0000 [3 per cell]
2 Tb 0.0437 0.1641 0.3535 [18 per cell]
3 Rh 0.0000 0.0000 0.5000 [3 per cell]
4 Br 0.0227 0.5850 0.1573 [18 per cell]
5 Br 0.0474 0.1726 0.8430 [18 per cell]


Entry 7:
For Tb6RhBr10, DFT lattice parameters and positions (GGA-PBE) gives the simulated X-ray diffraction stick pattern in this record (Cu Kα, 1.54184 Å).
Neutral-atom scattering factors, no anomalous dispersion.

Peak list (10 most intense, 10 to 90 degrees two-theta, low angle first)
2θ = 10.30°, I 71, (0 0 1); 2θ = 10.63°, I 67, (0 1 0); 2θ = 29.80°, I 100, (2 0 1); 2θ = 30.29°, I 100, (1 1 -3); 2θ = 30.59°, I 96, (1 -3 0); 2θ = 42.52°, I 66, (3 1 -2); 2θ = 43.43°, I 36, (1 -1 4); 2θ = 43.50°, I 34, (0 4 -3); 2θ = 43.67°, I 33, (-2 2 3); 2θ = 43.97°, I 36, (1 3 1)

Atomic structure:
abc: 7.420 9.265 9.295
angles: 108.32 97.16 105.43
Space group P-1 (No. 2)
Inequivalent atoms, fractional coordinates:
1 Tb 0.026 0.200 0.405 [2 per cell]
2 Tb 0.124 0.545 0.254 [2 per cell]
3 Tb 0.366 0.639 0.681 [2 per cell]
4 Rh 0.000 0.500 0.500 [1 per cell]
5 Br 0.086 0.870 0.329 [2 per cell]
6 Br 0.208 0.240 0.150 [2 per cell]
7 Br 0.252 0.584 0.958 [2 per cell]
8 Br 0.359 0.958 0.774 [2 per cell]
9 Br 0.452 0.325 0.585 [2 per cell]